Structure and computed powder X-ray diffraction pattern of CsAc2AuO4 (a PBE-relaxed structure; CuKα).
Kinematic intensities with the Lorentz-polarization factor, no thermal factor.

Structure:
```
CsAc2AuO4
1.0
2.0149 -6.9876 0.0000
2.0149 6.9876 0.0000
0.0000 0.0000 12.3265
Cs Ac Au O
2 4 2 8
direct
0.0677 0.9323 0.7500
0.9323 0.0677 0.2500
0.3717 0.6283 0.5637
0.3717 0.6283 0.9363
0.6283 0.3717 0.0637
0.6283 0.3717 0.4363
0.2367 0.7633 0.2500
0.7633 0.2367 0.7500
0.0000 0.0000 0.0000
0.0000 0.0000 0.5000
0.2365 0.7635 0.0842
0.2365 0.7635 0.4158
0.4207 0.5793 0.7500
0.5793 0.4207 0.2500
0.7635 0.2365 0.5842
0.7635 0.2365 0.9158
```

Top 10 peaks for 10 to 90 degrees two-theta, sorted by position:
2θ 25.14, I = 80; 2θ 27.20, I = 59; 2θ 29.36, I = 74; 2θ 30.21, I = 100; 2θ 31.75, I = 65; 2θ 32.78, I = 25; 2θ 44.99, I = 31; 2θ 47.43, I = 50; 2θ 52.23, I = 23; 2θ 54.63, I = 36

***

Structure and computed powder X-ray diffraction pattern of Ac2CuAu3 (a PBE-relaxed structure; CuKα).
Kinematic intensities with the Lorentz-polarization factor, no thermal factor.

Structure:
```
Ac2CuAu3
1.0
4.0715 0.0000 0.0000
0.0000 4.7379 0.0000
0.0000 0.0000 8.0918
Ac Cu Au
2 1 3
direct
0.0000 0.0000 0.0000
0.0000 0.5000 0.4985
0.5000 0.0000 0.3233
0.5000 0.0000 0.6454
0.5000 0.5000 0.1840
0.5000 0.5000 0.8358
```

Top 10 peaks for 10 to 90 degrees two-theta, sorted by position:
2θ 31.00, I = 100; 2θ 31.16, I = 48; 2θ 37.98, I = 29; 2θ 38.40, I = 54; 2θ 44.52, I = 21; 2θ 49.92, I = 26; 2θ 59.91, I = 16; 2θ 60.21, I = 30; 2θ 64.31, I = 13; 2θ 73.56, I = 13